Calculated powder X-ray diffraction pattern
Compound: K2TlHg3Au4
Radiation: CuKα
Structure: a crystal structure in Alexandria, relaxed with GGA-PBE
Kinematic intensities with the Lorentz-polarization factor, no thermal factor.

Cell and atoms:
abc: 4.9422 4.9422 11.5365
angles: 90.00 90.00 90.00
Fractional positions:
K 0.0000 0.5000 0.2319
K 0.5000 0.0000 0.7681
Tl 0.0000 0.0000 0.5000
Hg 0.0000 0.5000 0.8742
Hg 0.5000 0.0000 0.1258
Hg 0.5000 0.5000 0.5000
Au 0.0000 0.0000 0.0000
Au 0.0000 0.5000 0.6342
Au 0.5000 0.0000 0.3658
Au 0.5000 0.5000 0.0000

Principal peaks in the range 10 to 90 degrees two-theta, in order of rising 2θ:
| 2theta | Rel. int. |
| --- | --- |
| 15.36 | 50.5 |
| 19.54 | 65.8 |
| 29.43 | 34.9 |
| 29.89 | 84.0 |
| 36.36 | 82.4 |
| 39.68 | 20.8 |
| 40.56 | 100.0 |
| 52.36 | 29.3 |
| 61.47 | 21.9 |
| 68.26 | 44.5 |